# CsBaB2Br8
Theoretical powder diffraction line list, Cu Kα, 1.54184 Å. Input: DFT lattice parameters and positions (PBE).
Lines closer than 0.1° are merged.

Cell and atoms:
```
data_CsBaB2Br8
_chemical_formula_sum 'Cs1 Ba1 B2 Br8'
_symmetry_space_group_name_H-M 'P 1'
_symmetry_Int_Tables_number 1
_symmetry_space_group_name_Hall 'P 1'
_cell_length_a 11.0850
_cell_length_b 11.0850
_cell_length_c 11.0850
_cell_angle_alpha 36.21
_cell_angle_beta 36.21
_cell_angle_gamma 36.21
loop_
_atom_site_label
_atom_site_fract_x
_atom_site_fract_y
_atom_site_fract_z
Cs1 0.0000 0.0000 0.0000
Ba1 0.5000 0.5000 0.5000
B1 0.2522 0.2522 0.2522
B2 0.7478 0.7478 0.7478
Br1 0.0347 0.8102 0.4667
Br2 0.1898 0.5333 0.9653
Br3 0.3176 0.3176 0.3176
Br4 0.4667 0.0347 0.8102
Br5 0.5333 0.9653 0.1898
Br6 0.6824 0.6824 0.6824
Br7 0.8102 0.4667 0.0347
Br8 0.9653 0.1898 0.5333
```

Main lines, by angle (10° ≤ 2θ ≤ 90°):
d (Å), I (rel.)
4.730, 50
3.448, 36
3.268, 70
2.930, 15
2.867, 100
2.754, 15
2.069, 31
1.989, 27
1.824, 14
1.723, 15